Entry 1:
Simulated powder diffraction line list
Compound: Cs2RbInSb2
Radiation: Cu Ka
Structure: a crystal structure in Alexandria, relaxed with GGA-PBE
Kinematic intensities with the Lorentz-polarization factor, no thermal factor.

abc: 10.215 10.215 10.215
angles: 129.53 69.61 135.39
Element x y z (fractional)
1 Cs 0.173 0.216 0.389
2 Cs 0.327 0.716 0.042
3 Cs 0.673 0.284 0.958
4 Cs 0.827 0.784 0.611
5 Rb 0.250 0.750 0.500
6 Rb 0.750 0.250 0.500
7 In 0.250 0.250 0.000
8 In 0.750 0.750 0.000
9 Sb 0.092 0.812 0.904
10 Sb 0.408 0.312 0.720
11 Sb 0.592 0.688 0.280
12 Sb 0.908 0.188 0.096

Peak list (10 most intense, 10° ≤ 2θ ≤ 90°, low angle first)
10.55 deg, intensity 29; 11.45 deg, intensity 37; 22.98 deg, intensity 51; 25.31 deg, intensity 22; 26.24 deg, intensity 100; 29.57 deg, intensity 37; 30.88 deg, intensity 76; 31.42 deg, intensity 41; 42.37 deg, intensity 27; 46.04 deg, intensity 20

---

Entry 2:
Simulated powder diffraction line list
Compound: Tb7Pr6Sm16
Radiation: Cu Ka
Structure: a crystal structure in Alexandria, relaxed with GGA-PBE
Kinematic intensities with the Lorentz-polarization factor, no thermal factor.

abc: 11.339 11.339 11.339
angles: 60.00 60.00 60.00
Element x y z (fractional)
1 Tb 0.000 0.000 0.000
2 Tb 0.000 0.000 0.500
3 Tb 0.000 0.500 0.000
4 Tb 0.000 0.500 0.500
5 Tb 0.500 0.000 0.000
6 Tb 0.500 0.000 0.500
7 Tb 0.500 0.500 0.000
8 Pr 0.272 0.272 0.728
9 Pr 0.272 0.728 0.272
10 Pr 0.272 0.728 0.728
11 Pr 0.728 0.272 0.272
12 Pr 0.728 0.272 0.728
13 Pr 0.728 0.728 0.272
14 Sm 0.046 0.651 0.651
15 Sm 0.126 0.126 0.126
16 Sm 0.126 0.126 0.621
17 Sm 0.126 0.621 0.126
18 Sm 0.349 0.349 0.349
19 Sm 0.349 0.349 0.954
20 Sm 0.349 0.954 0.349
21 Sm 0.379 0.874 0.874
22 Sm 0.621 0.126 0.126
23 Sm 0.651 0.046 0.651
24 Sm 0.651 0.651 0.046
25 Sm 0.651 0.651 0.651
26 Sm 0.874 0.379 0.874
27 Sm 0.874 0.874 0.379
28 Sm 0.874 0.874 0.874
29 Sm 0.954 0.349 0.349

Peak list (10 most intense, 10° ≤ 2θ ≤ 90°, low angle first)
27.25 deg, intensity 6; 28.93 deg, intensity 12; 31.56 deg, intensity 100; 33.05 deg, intensity 6; 43.34 deg, intensity 6; 45.24 deg, intensity 14; 56.21 deg, intensity 26; 59.64 deg, intensity 5; 65.90 deg, intensity 7; 74.91 deg, intensity 7

---

Entry 3:
Simulated powder diffraction line list
Compound: Zr3Pt5
Radiation: Cu Ka
Structure: a crystal structure in Alexandria, relaxed with GGA-PBE
Kinematic intensities with the Lorentz-polarization factor, no thermal factor.

abc: 7.536 7.536 5.490
angles: 104.65 104.65 81.02
Element x y z (fractional)
1 Zr 0.014 0.986 0.750
2 Zr 0.170 0.561 0.826
3 Zr 0.439 0.830 0.674
4 Zr 0.561 0.170 0.326
5 Zr 0.830 0.439 0.174
6 Zr 0.986 0.014 0.250
7 Pt 0.112 0.669 0.354
8 Pt 0.188 0.281 0.121
9 Pt 0.281 0.188 0.621
10 Pt 0.331 0.888 0.146
11 Pt 0.469 0.531 0.250
12 Pt 0.531 0.469 0.750
13 Pt 0.669 0.112 0.854
14 Pt 0.719 0.812 0.379
15 Pt 0.812 0.719 0.879
16 Pt 0.888 0.331 0.646

Peak list (10 most intense, 10° ≤ 2θ ≤ 90°, low angle first)
34.07 deg, intensity 28; 34.94 deg, intensity 18; 36.72 deg, intensity 25; 36.90 deg, intensity 26; 37.92 deg, intensity 42; 38.04 deg, intensity 100; 40.78 deg, intensity 46; 43.49 deg, intensity 26; 43.68 deg, intensity 27; 66.24 deg, intensity 20

---

Entry 4:
Simulated powder diffraction line list
Compound: RbPmHgI6
Radiation: Cu Ka
Structure: a crystal structure in Alexandria, relaxed with GGA-PBE
Kinematic intensities with the Lorentz-polarization factor, no thermal factor.

abc: 8.322 8.322 8.181
angles: 93.48 93.48 124.98
Element x y z (fractional)
1 Rb 0.000 0.000 0.000
2 Pm 0.656 0.344 0.500
3 Hg 0.358 0.642 0.500
4 I 0.004 0.399 0.294
5 I 0.344 0.334 0.696
6 I 0.414 0.017 0.217
7 I 0.601 0.996 0.706
8 I 0.666 0.656 0.304
9 I 0.983 0.586 0.783

Peak list (10 most intense, 10° ≤ 2θ ≤ 90°, low angle first)
10.91 deg, intensity 59; 13.07 deg, intensity 27; 16.04 deg, intensity 32; 18.02 deg, intensity 45; 23.45 deg, intensity 100; 29.74 deg, intensity 56; 34.35 deg, intensity 36; 34.62 deg, intensity 30; 39.94 deg, intensity 37; 46.44 deg, intensity 28

---

Entry 5:
Simulated powder diffraction line list
Compound: TbSm5Tm
Radiation: Cu Ka
Structure: a crystal structure in Alexandria, relaxed with GGA-PBE
Kinematic intensities with the Lorentz-polarization factor, no thermal factor.

abc: 7.019 7.019 7.019
angles: 123.18 122.62 85.05
Element x y z (fractional)
1 Tb 0.000 0.000 0.000
2 Sm 0.343 0.118 0.775
3 Sm 0.343 0.568 0.225
4 Sm 0.433 0.654 0.779
5 Sm 0.876 0.654 0.221
6 Sm 0.900 0.400 0.500
7 Tm 0.600 0.100 0.500

Peak list (10 most intense, 10° ≤ 2θ ≤ 90°, low angle first)
26.45 deg, intensity 25; 26.69 deg, intensity 24; 29.12 deg, intensity 100; 30.96 deg, intensity 82; 31.11 deg, intensity 79; 31.69 deg, intensity 42; 31.90 deg, intensity 48; 39.73 deg, intensity 37; 41.90 deg, intensity 26; 56.22 deg, intensity 21

---

Entry 6:
Simulated powder diffraction line list
Compound: La4Ni2Pd
Radiation: Cu Ka
Structure: a crystal structure in Alexandria, relaxed with GGA-PBE
Kinematic intensities with the Lorentz-polarization factor, no thermal factor.

abc: 8.366 8.366 7.245
angles: 107.93 107.93 117.29
Element x y z (fractional)
1 La 0.023 0.977 0.500
2 La 0.172 0.637 0.297
3 La 0.442 0.510 0.662
4 La 0.510 0.442 0.162
5 La 0.563 0.942 0.176
6 La 0.637 0.172 0.797
7 La 0.942 0.563 0.676
8 La 0.977 0.023 0.000
9 Ni 0.289 0.982 0.867
10 Ni 0.636 0.814 0.537
11 Ni 0.814 0.636 0.037
12 Ni 0.982 0.289 0.367
13 Pd 0.112 0.368 0.834
14 Pd 0.368 0.112 0.334

Peak list (10 most intense, 10° ≤ 2θ ≤ 90°, low angle first)
28.33 deg, intensity 68; 28.59 deg, intensity 59; 29.31 deg, intensity 70; 31.31 deg, intensity 72; 31.49 deg, intensity 100; 32.32 deg, intensity 72; 32.48 deg, intensity 100; 33.92 deg, intensity 61; 35.87 deg, intensity 85; 39.42 deg, intensity 59

---

Entry 7:
Simulated powder diffraction line list
Compound: HfGaF5
Radiation: Cu Ka
Structure: a crystal structure in Alexandria, relaxed with GGA-PBE
Kinematic intensities with the Lorentz-polarization factor, no thermal factor.

abc: 6.110 6.110 8.115
angles: 106.37 106.37 77.88
Element x y z (fractional)
1 Hf 0.000 0.000 0.000
2 Hf 0.000 0.000 0.500
3 Ga 0.483 0.517 0.750
4 Ga 0.517 0.483 0.250
5 F 0.061 0.939 0.250
6 F 0.185 0.256 0.586
7 F 0.220 0.720 0.929
8 F 0.256 0.185 0.086
9 F 0.280 0.780 0.571
10 F 0.720 0.220 0.429
11 F 0.744 0.815 0.914
12 F 0.780 0.280 0.071
13 F 0.815 0.744 0.414
14 F 0.939 0.061 0.750

Peak list (10 most intense, 10° ≤ 2θ ≤ 90°, low angle first)
15.27 deg, intensity 66; 20.05 deg, intensity 78; 23.16 deg, intensity 51; 24.86 deg, intensity 100; 30.82 deg, intensity 27; 31.15 deg, intensity 28; 33.12 deg, intensity 22; 41.75 deg, intensity 23; 46.89 deg, intensity 20; 47.39 deg, intensity 35

---

Entry 8:
Simulated powder diffraction line list
Compound: EuHoTmIn
Radiation: Cu Ka
Structure: a crystal structure in Alexandria, relaxed with GGA-PBE
Kinematic intensities with the Lorentz-polarization factor, no thermal factor.

abc: 5.474 5.474 5.474
angles: 60.00 60.00 60.00
Element x y z (fractional)
1 Eu 0.000 0.000 0.000
2 Ho 0.250 0.250 0.250
3 Tm 0.750 0.750 0.750
4 In 0.500 0.500 0.500

Peak list (9 most intense, 10° ≤ 2θ ≤ 90°, low angle first)
19.87 deg, intensity 1; 22.98 deg, intensity 1; 32.72 deg, intensity 100; 46.95 deg, intensity 18; 52.90 deg, intensity 1; 58.41 deg, intensity 38; 68.58 deg, intensity 12; 78.08 deg, intensity 16; 87.26 deg, intensity 4